(1)
Simulated powder diffractogram of LiNd2TlMo4O16 for Cu Kα X-rays, from the GGA+U geometry in the Materials Project.
Neutral-atom scattering factors, no anomalous dispersion.

Largest 8 diffraction maxima, low angle first, 10° ≤ 2θ ≤ 80°:
d [Å]	intensity
3.620	1000
3.446	959
3.366	666
3.329	840
3.248	766
3.198	891
3.047	681
2.974	696

Cell and atoms:
```
LiNd2TlMo4O16
1.0
2.6947 -6.5633 0.0000
2.6947 6.5633 0.0000
-1.0719 0.0000 20.0169
Li Nd Tl Mo O
2 4 2 8 32
Direct
0.1858 0.8142 0.7500
0.8142 0.1858 0.2500
0.3535 0.6457 0.9663
0.3543 0.6465 0.5337
0.6457 0.3535 0.4663
0.6465 0.3543 0.0337
0.4685 0.5315 0.7500
0.5315 0.4685 0.2500
0.0505 0.9229 0.9079
0.0771 0.9495 0.5921
0.2338 0.7456 0.3520
0.2544 0.7662 0.1480
0.7456 0.2338 0.8520
0.7662 0.2544 0.6480
0.9229 0.0505 0.4079
0.9495 0.0771 0.0921
0.0104 0.1985 0.3299
0.0155 0.6789 0.9565
0.0267 0.4407 0.7116
0.0856 0.3893 0.8667
0.0914 0.5719 0.4324
0.1853 0.2664 0.6003
0.1985 0.0104 0.8299
0.2285 0.5118 0.1731
0.2382 0.2818 0.4604
0.2664 0.1853 0.1003
0.2818 0.2382 0.9604
0.3211 0.9845 0.5435
0.3893 0.0856 0.3667
0.4281 0.9086 0.0676
0.4407 0.0267 0.2116
0.4882 0.7715 0.3269
0.5118 0.2285 0.6731
0.5593 0.9733 0.7884
0.5719 0.0914 0.9324
0.6107 0.9144 0.6333
0.6789 0.0155 0.4565
0.7182 0.7618 0.0396
0.7336 0.8147 0.8997
0.7618 0.7182 0.5396
0.7715 0.4882 0.8269
0.8015 0.9896 0.1701
0.8147 0.7336 0.3997
0.9086 0.4281 0.5676
0.9144 0.6107 0.1333
0.9733 0.5593 0.2884
0.9845 0.3211 0.0435
0.9896 0.8015 0.6701
```



(2)
Simulated powder diffractogram of Ba2NbVO6 for Cu Kα X-rays, from the GGA+U geometry in the Materials Project.
Neutral-atom scattering factors, no anomalous dispersion.

Largest 8 diffraction maxima, low angle first, 10° ≤ 2θ ≤ 80°:
d [Å]	intensity
2.908	1000
2.897	495
2.371	185
2.064	165
2.053	162
1.681	196
1.676	195
1.673	193

Cell and atoms:
```
Ba2NbVO6
1.0
5.7944 0.0000 0.0000
2.8821 5.0412 0.0000
2.8667 1.6111 9.4902
Ba Nb V O
4 2 2 12
Direct
0.1245 0.1254 0.1242
0.3743 0.3755 0.3742
0.6257 0.6245 0.6258
0.8755 0.8746 0.8758
0.2507 0.2495 0.7477
0.7493 0.7505 0.2523
0.0000 0.0000 0.5000
0.5000 0.5000 0.0000
0.1208 0.6253 0.1241
0.1304 0.1265 0.6280
0.1318 0.6158 0.6294
0.3773 0.8774 0.8753
0.3783 0.8728 0.3716
0.3814 0.3792 0.8793
0.6186 0.6208 0.1207
0.6217 0.1272 0.6284
0.6227 0.1226 0.1247
0.8682 0.3842 0.3706
0.8696 0.8735 0.3720
0.8792 0.3747 0.8759
```



(3)
Simulated powder diffractogram of Rb3CrH6O6 for Cu Kα X-rays, from the GGA+U geometry in the Materials Project.
Neutral-atom scattering factors, no anomalous dispersion.

Largest 8 diffraction maxima, low angle first, 10° ≤ 2θ ≤ 80°:
d [Å]	intensity
5.916	1000
3.713	966
3.182	378
2.958	224
2.608	481
2.498	260
2.416	348
1.990	222

Cell and atoms:
```
Rb3CrH6O6
1.0
5.5122 3.1825 5.0249
-5.5122 3.1825 5.0249
0.0000 -6.3649 5.0249
Rb Cr H O
6 2 12 12
Direct
0.1416 0.7500 0.3584
0.2500 0.6416 0.8584
0.3584 0.1416 0.7500
0.6416 0.8584 0.2500
0.7500 0.3584 0.1416
0.8584 0.2500 0.6416
0.0000 0.0000 0.0000
0.5000 0.5000 0.5000
0.0948 0.2205 0.3598
0.1402 0.2795 0.4052
0.2205 0.3598 0.0948
0.2795 0.4052 0.1402
0.3598 0.0948 0.2205
0.4052 0.1402 0.2795
0.5948 0.8598 0.7205
0.6402 0.9052 0.7795
0.7205 0.5948 0.8598
0.7795 0.6402 0.9052
0.8598 0.7205 0.5948
0.9052 0.7795 0.6402
0.0452 0.2148 0.9464
0.0536 0.9548 0.7852
0.2148 0.9464 0.0452
0.2852 0.4548 0.5536
0.4464 0.7148 0.5452
0.4548 0.5536 0.2852
0.5452 0.4464 0.7148
0.5536 0.2852 0.4548
0.7148 0.5452 0.4464
0.7852 0.0536 0.9548
0.9464 0.0452 0.2148
0.9548 0.7852 0.0536
```



(4)
Simulated powder diffractogram of BaEuDyWO6 for Cu Kα X-rays, from the GGA+U geometry in the Materials Project.
Neutral-atom scattering factors, no anomalous dispersion.

Largest 8 diffraction maxima, low angle first, 10° ≤ 2θ ≤ 80°:
d [Å]	intensity
4.233	30
2.993	1000
2.116	278
1.893	12
1.728	410
1.496	176
1.338	182
1.222	59

Cell and atoms:
```
BaEuDyWO6
1.0
0.0000 4.2327 4.2327
4.2327 0.0000 4.2327
4.2327 4.2327 0.0000
Ba Eu Dy W O
1 1 1 1 6
Direct
0.0000 0.0000 0.0000
0.5000 0.5000 0.5000
0.7500 0.7500 0.7500
0.2500 0.2500 0.2500
0.0132 0.0132 0.4868
0.0132 0.4868 0.0132
0.0132 0.4868 0.4868
0.4868 0.0132 0.0132
0.4868 0.0132 0.4868
0.4868 0.4868 0.0132
```



(5)
Simulated powder diffractogram of LiCo3O2F6 for Cu Kα X-rays, from the GGA+U geometry in the Materials Project.
Neutral-atom scattering factors, no anomalous dispersion.

Largest 8 diffraction maxima, low angle first, 10° ≤ 2θ ≤ 80°:
d [Å]	intensity
5.474	414
3.256	1000
3.240	973
2.565	274
2.550	530
2.239	478
1.706	316
1.699	318

Cell and atoms:
```
LiCo3O2F6
1.0
4.6021 0.0000 0.0000
0.0091 5.5189 0.0000
0.1199 1.3145 10.1955
Li Co O F
2 6 4 12
Direct
0.0000 0.0000 0.0000
0.4989 0.0020 0.4956
0.0002 0.5020 0.4978
0.0354 0.7335 0.7526
0.4746 0.7280 0.2533
0.5011 0.5002 0.9968
0.5315 0.2691 0.7405
0.9719 0.2709 0.2454
0.1905 0.5314 0.3298
0.3103 0.5285 0.8262
0.6943 0.4775 0.1721
0.8151 0.4704 0.6639
0.1988 0.2821 0.0716
0.2019 0.7749 0.5726
0.2240 0.0322 0.8164
0.2755 0.0341 0.3112
0.3049 0.7701 0.0717
0.3133 0.2765 0.5753
0.6909 0.7263 0.4198
0.6997 0.2310 0.9220
0.7263 0.9657 0.6834
0.7770 0.9740 0.1802
0.8017 0.2277 0.4245
0.8042 0.7178 0.9237
```



(6)
Simulated powder diffractogram of MnOF for Cu Kα X-rays, from the GGA+U geometry in the Materials Project.
Neutral-atom scattering factors, no anomalous dispersion.

Largest 8 diffraction maxima, low angle first, 10° ≤ 2θ ≤ 80°:
d [Å]	intensity
3.646	580
3.549	528
2.987	568
2.969	467
2.924	1000
2.580	263
1.735	235
1.724	368

Cell and atoms:
```
MnOF
1.0
4.6651 0.0000 0.0000
0.1266 7.6385 0.0000
0.1846 0.6929 7.6350
Mn O F
8 8 8
Direct
0.0000 0.0000 0.0000
0.0008 0.4762 0.4851
0.0181 0.0911 0.5796
0.4212 0.8272 0.3472
0.4688 0.2263 0.2311
0.4736 0.7449 0.7586
0.5539 0.3389 0.8394
0.9729 0.5969 0.0823
0.1848 0.6318 0.3032
0.1953 0.7802 0.9507
0.2288 0.2681 0.4319
0.2368 0.0249 0.1969
0.2500 0.8752 0.5665
0.7169 0.5638 0.8914
0.7236 0.1936 0.0245
0.7965 0.2983 0.6329
0.2463 0.3882 0.0367
0.2722 0.1401 0.8066
0.2891 0.4991 0.6957
0.6988 0.8037 0.1483
0.7021 0.0245 0.3934
0.7141 0.6717 0.5302
0.7303 0.4324 0.2587
0.7802 0.9547 0.7744
```



(7)
Simulated powder diffractogram of Rb3CrO8 for Cu Kα X-rays, from the GGA+U geometry in the Materials Project.
Neutral-atom scattering factors, no anomalous dispersion.

Largest 8 diffraction maxima, low angle first, 10° ≤ 2θ ≤ 80°:
d [Å]	intensity
3.559	484
3.123	1000
2.517	375
1.960	552
1.738	137
1.562	157
1.546	137
1.317	169

Cell and atoms:
```
Rb3CrO8
1.0
-3.5592 3.5592 3.9827
3.5592 -3.5592 3.9827
3.5592 3.5592 -3.9827
Rb Cr O
3 1 8
Direct
0.0000 0.0000 0.0000
0.2500 0.7500 0.5000
0.7500 0.2500 0.5000
0.5000 0.5000 0.0000
0.1946 0.4546 0.0000
0.2853 0.6830 0.0000
0.3170 0.3170 0.6024
0.4546 0.1946 0.0000
0.5454 0.5454 0.7400
0.6830 0.2853 0.0000
0.7147 0.7147 0.3976
0.8054 0.8054 0.2600
```



(8)
Simulated powder diffractogram of Fe2CuP2O10 for Cu Kα X-rays, from the GGA+U geometry in the Materials Project.
Neutral-atom scattering factors, no anomalous dispersion.

Largest 8 diffraction maxima, low angle first, 10° ≤ 2θ ≤ 80°:
d [Å]	intensity
6.091	180
5.032	177
4.877	399
3.435	208
3.316	1000
3.181	159
2.175	182
1.660	163

Cell and atoms:
```
Fe2CuP2O10
1.0
6.9123 0.0000 0.0000
0.0000 8.1409 0.0000
-3.4347 0.0000 6.4010
Fe Cu P O
4 2 4 20
Direct
0.2410 0.0000 0.2746
0.2424 0.9445 0.7671
0.7576 0.4445 0.2329
0.7590 0.5000 0.7254
0.4984 0.2204 0.7499
0.5016 0.7204 0.2501
0.2413 0.3132 0.9935
0.2428 0.6274 0.4938
0.7572 0.1274 0.5062
0.7587 0.8132 0.0065
0.0579 0.4158 0.8254
0.0600 0.5227 0.3275
0.1589 0.2042 0.1148
0.1606 0.7369 0.6145
0.2887 0.0822 0.5509
0.2955 0.8607 0.0516
0.3391 0.1835 0.8943
0.3397 0.7554 0.3924
0.4325 0.4249 0.1343
0.4335 0.5143 0.6351
0.5665 0.0143 0.3649
0.5675 0.9249 0.8657
0.6603 0.2554 0.6076
0.6609 0.6835 0.1057
0.7045 0.3607 0.9484
0.7113 0.5822 0.4491
0.8394 0.2369 0.3855
0.8411 0.7042 0.8852
0.9400 0.0227 0.6725
0.9421 0.9158 0.1746
```



(9)
Simulated powder diffractogram of TiCrO3 for Cu Kα X-rays, from the GGA+U geometry in the Materials Project.
Neutral-atom scattering factors, no anomalous dispersion.

Largest 8 diffraction maxima, low angle first, 10° ≤ 2θ ≤ 80°:
d [Å]	intensity
7.096	303
3.548	464
2.864	282
2.838	312
2.810	252
2.769	258
2.617	1000
2.605	493

Cell and atoms:
```
TiCrO3
1.0
5.2094 0.0000 0.0000
-2.5923 4.5452 0.0000
-0.1539 -0.6951 14.1912
Ti Cr O
6 6 18
Direct
0.0000 0.0000 0.0000
0.0032 0.0139 0.4998
0.3074 0.6683 0.1661
0.3359 0.6762 0.9516
0.6486 0.3209 0.6664
0.6670 0.3563 0.4517
0.3258 0.6624 0.6513
0.3374 0.6915 0.4460
0.6456 0.3290 0.1520
0.6728 0.3422 0.9465
0.9860 0.0128 0.2938
0.9968 0.0026 0.7939
0.0021 0.6653 0.5474
0.0148 0.3693 0.0428
0.0439 0.7476 0.8953
0.2846 0.3115 0.8963
0.2871 0.3445 0.2157
0.2987 0.0599 0.3956
0.3324 0.9790 0.0589
0.3332 0.0170 0.7193
0.3658 0.3496 0.5570
0.6415 0.9787 0.2198
0.6482 0.6635 0.0447
0.6606 0.0359 0.5410
0.6749 0.6598 0.7189
0.6918 0.9779 0.8966
0.7202 0.7130 0.3960
0.9580 0.3017 0.7171
0.9752 0.3048 0.3963
0.9957 0.6803 0.2200
```



(10)
Simulated powder diffractogram of LiV4O5F7 for Cu Kα X-rays, from the GGA+U geometry in the Materials Project.
Neutral-atom scattering factors, no anomalous dispersion.

Largest 8 diffraction maxima, low angle first, 10° ≤ 2θ ≤ 80°:
d [Å]	intensity
3.781	1000
3.761	957
3.645	974
2.255	266
1.891	219
1.881	203
1.822	177
1.702	217

Cell and atoms:
```
LiV4O5F7
1.0
5.1254 0.0000 0.0000
2.4365 4.7632 0.0000
2.3455 1.7602 8.5166
Li V O F
1 4 5 7
Direct
0.0000 0.0000 0.0000
0.0800 0.2526 0.6417
0.3185 0.4645 0.8951
0.5314 0.7144 0.1538
0.8512 0.9640 0.4083
0.0478 0.5737 0.5260
0.1543 0.2804 0.8360
0.1573 0.8862 0.2194
0.4766 0.6147 0.9846
0.9966 0.1131 0.4855
0.0826 0.8551 0.7855
0.4995 0.0238 0.5778
0.5757 0.0705 0.0228
0.5998 0.3301 0.2769
0.6491 0.3884 0.7221
0.6571 0.7929 0.3213
0.9761 0.5530 0.0778
```